This entry pairs a crystal structure of Ti3VSn2P6O24 with its theoretical powder diffraction line list. Radiation: Cu Kα (λ = 1.5418 Å). Structure: the GGA+U geometry in Alexandria.
Kinematic intensities with the Lorentz-polarization factor, no thermal factor.

Most intense lines, 15 to 90 degrees two-theta, low angle first:
20.8°, I = 100; 23.7°, I = 82; 25.3°, I = 28; 31.0°, I = 99; 32.9°, I = 32; 36.4°, I = 35; 44.8°, I = 16; 48.6°, I = 33; 57.0°, I = 25; 62.2°, I = 19

Structural model:
abc: 9.229 9.229 9.229
angles: 55.13 55.13 55.13
Fractional coordinates of all 36 atoms:
Ti  0.000  0.000  0.000
Ti  0.207  0.207  0.207
Ti  0.510  0.510  0.510
V  0.701  0.701  0.701
Sn  0.370  0.370  0.370
Sn  0.834  0.834  0.834
P  0.111  0.819  0.383
P  0.315  0.602  0.898
P  0.383  0.111  0.819
P  0.602  0.898  0.315
P  0.819  0.383  0.111
P  0.898  0.315  0.602
O  0.078  0.241  0.447
O  0.092  0.843  0.214
O  0.155  0.797  0.903
O  0.165  0.971  0.342
O  0.214  0.092  0.843
O  0.241  0.447  0.078
O  0.274  0.624  0.433
O  0.342  0.165  0.971
O  0.346  0.584  0.721
O  0.433  0.274  0.624
O  0.447  0.078  0.241
O  0.495  0.580  0.889
O  0.559  0.922  0.818
O  0.580  0.889  0.495
O  0.584  0.721  0.346
O  0.624  0.433  0.274
O  0.721  0.346  0.584
O  0.797  0.903  0.155
O  0.818  0.559  0.922
O  0.843  0.214  0.092
O  0.889  0.495  0.580
O  0.903  0.155  0.797
O  0.922  0.818  0.559
O  0.971  0.342  0.165